[1]
The following is a calculated X-ray powder pattern of TbNdHoTl. It was derived from a crystal structure in Alexandria, relaxed with GGA-PBE, using Cu Kα X-rays.
Peak positions follow from Bragg's law for the DFT cell and can differ from measured ones.

Structure:
```
data_TbNdHoTl
_chemical_formula_sum 'Tb1 Nd1 Ho1 Tl1'
_cell_length_a 4.849
_cell_length_b 4.908
_cell_length_c 4.944
_cell_angle_alpha 90.00
_cell_angle_beta 90.00
_cell_angle_gamma 90.00
_space_group_name_H-M_alt 'P 1'
_space_group_IT_number 1
_space_group_name_Hall 'P 1'
loop_
_atom_site_label
_atom_site_type_symbol
_atom_site_fract_x
_atom_site_fract_y
_atom_site_fract_z
Tb1 Tb 0.000 0.000 0.000
Nd1 Nd 0.500 0.500 0.000
Ho1 Ho 0.000 0.500 0.500
Tl1 Tl 0.500 0.000 0.500
```

Top 12 peaks for 2θ from 5° to 70°, by intensity:
2θ/deg	I/Imax
31.6	100
36.3	17
36.6	17
37.1	16
62.4	14
62.8	14
63.4	14
66.0	12
52.5	12
52.9	12
53.1	12
25.8	1

[2]
The following is a calculated X-ray powder pattern of Ho3Th2Rh2. It was derived from a crystal structure in Alexandria, relaxed with GGA-PBE, using Cu Kα X-rays.
Peak positions follow from Bragg's law for the DFT cell and can differ from measured ones.

Structure:
```
data_Ho3Th2Rh2
_chemical_formula_sum 'Ho3 Th2 Rh2'
_cell_length_a 6.322
_cell_length_b 6.322
_cell_length_c 9.068
_cell_angle_alpha 113.37
_cell_angle_beta 113.37
_cell_angle_gamma 34.23
_space_group_name_H-M_alt 'P 1'
_space_group_IT_number 1
_space_group_name_Hall 'P 1'
loop_
_atom_site_label
_atom_site_type_symbol
_atom_site_fract_x
_atom_site_fract_y
_atom_site_fract_z
Ho1 Ho 0.000 0.000 0.000
Ho2 Ho 0.115 0.115 0.430
Ho3 Ho 0.885 0.885 0.570
Th1 Th 0.329 0.329 0.181
Th2 Th 0.671 0.671 0.819
Rh1 Rh 0.323 0.323 0.760
Rh2 Rh 0.677 0.677 0.240
```

Top 12 peaks for 2θ from 5° to 70°, by intensity:
2θ/deg	I/Imax
32.1	100
31.1	96
29.7	94
32.8	84
34.8	75
34.3	68
38.8	47
28.8	45
49.0	42
48.1	37
59.7	35
35.6	30

[3]
The following is a calculated X-ray powder pattern of LiPmGe2Pt. It was derived from a crystal structure in Alexandria, relaxed with GGA-PBE, using Cu Kα X-rays.
Peak positions follow from Bragg's law for the DFT cell and can differ from measured ones.

Structure:
```
data_LiPmGe2Pt
_chemical_formula_sum 'Li1 Pm1 Ge2 Pt1'
_cell_length_a 6.137
_cell_length_b 6.137
_cell_length_c 6.137
_cell_angle_alpha 140.43
_cell_angle_beta 140.43
_cell_angle_gamma 57.20
_space_group_name_H-M_alt 'P 1'
_space_group_IT_number 1
_space_group_name_Hall 'P 1'
loop_
_atom_site_label
_atom_site_type_symbol
_atom_site_fract_x
_atom_site_fract_y
_atom_site_fract_z
Li1 Li 0.000 0.000 0.000
Pm1 Pm 0.250 0.750 0.500
Ge1 Ge 0.634 0.134 0.500
Ge2 Ge 0.866 0.366 0.500
Pt1 Pt 0.500 0.500 0.000
```

Top 12 peaks for 2θ from 5° to 70°, by intensity:
2θ/deg	I/Imax
34.8	100
33.0	79
22.9	78
43.6	50
47.5	36
55.7	36
66.4	26
49.8	20
63.3	17
45.7	14
60.4	14
33.3	8

[4]
The following is a calculated X-ray powder pattern of Na3Cd2Hg6. It was derived from a crystal structure in Alexandria, relaxed with GGA-PBE, using Cu Kα X-rays.
Peak positions follow from Bragg's law for the DFT cell and can differ from measured ones.

Structure:
```
data_Na3Cd2Hg6
_chemical_formula_sum 'Na3 Cd2 Hg6'
_cell_length_a 16.221
_cell_length_b 16.221
_cell_length_c 16.221
_cell_angle_alpha 164.37
_cell_angle_beta 164.37
_cell_angle_gamma 22.17
_space_group_name_H-M_alt 'P 1'
_space_group_IT_number 1
_space_group_name_Hall 'P 1'
loop_
_atom_site_label
_atom_site_type_symbol
_atom_site_fract_x
_atom_site_fract_y
_atom_site_fract_z
Na1 Na 0.000 0.000 0.000
Na2 Na 0.171 0.171 0.000
Na3 Na 0.829 0.829 0.000
Cd1 Cd 0.361 0.361 0.000
Cd2 Cd 0.639 0.639 0.000
Hg1 Hg 0.073 0.573 0.500
Hg2 Hg 0.269 0.269 0.000
Hg3 Hg 0.427 0.927 0.500
Hg4 Hg 0.573 0.073 0.500
Hg5 Hg 0.731 0.731 0.000
Hg6 Hg 0.927 0.427 0.500
```

Top 12 peaks for 2θ from 5° to 70°, by intensity:
2θ/deg	I/Imax
29.2	100
16.7	79
36.6	77
40.9	55
33.3	34
37.2	29
44.5	29
21.8	24
67.4	19
58.3	19
59.2	18
56.4	17

[5]
The following is a calculated X-ray powder pattern of TbPr2DyMg. It was derived from a crystal structure in Alexandria, relaxed with GGA-PBE, using Cu Kα X-rays.
Peak positions follow from Bragg's law for the DFT cell and can differ from measured ones.

Structure:
```
data_TbPr2DyMg
_chemical_formula_sum 'Tb2 Pr4 Dy2 Mg2'
_cell_length_a 5.960
_cell_length_b 7.499
_cell_length_c 7.324
_cell_angle_alpha 90.00
_cell_angle_beta 90.00
_cell_angle_gamma 90.00
_space_group_name_H-M_alt 'P 1'
_space_group_IT_number 1
_space_group_name_Hall 'P 1'
loop_
_atom_site_label
_atom_site_type_symbol
_atom_site_fract_x
_atom_site_fract_y
_atom_site_fract_z
Tb1 Tb 0.250 0.000 0.127
Tb2 Tb 0.750 0.000 0.873
Pr1 Pr 0.250 0.285 0.809
Pr2 Pr 0.250 0.715 0.809
Pr3 Pr 0.750 0.285 0.191
Pr4 Pr 0.750 0.715 0.191
Dy1 Dy 0.250 0.500 0.352
Dy2 Dy 0.750 0.500 0.648
Mg1 Mg 0.000 0.000 0.500
Mg2 Mg 0.500 0.000 0.500
```

Top 12 peaks for 2θ from 5° to 70°, by intensity:
2θ/deg	I/Imax
30.7	100
31.0	52
30.0	38
53.7	23
16.9	22
34.6	14
52.4	11
53.9	11
24.3	11
58.1	10
49.2	10
69.5	10

[6]
The following is a calculated X-ray powder pattern of Cs2BaBeIn. It was derived from a crystal structure in Alexandria, relaxed with GGA-PBE, using Cu Kα X-rays.
Peak positions follow from Bragg's law for the DFT cell and can differ from measured ones.

Structure:
```
data_Cs2BaBeIn
_chemical_formula_sum 'Cs2 Ba1 Be1 In1'
_cell_length_a 7.405
_cell_length_b 7.405
_cell_length_c 6.811
_cell_angle_alpha 90.00
_cell_angle_beta 90.00
_cell_angle_gamma 90.00
_space_group_name_H-M_alt 'P 1'
_space_group_IT_number 1
_space_group_name_Hall 'P 1'
loop_
_atom_site_label
_atom_site_type_symbol
_atom_site_fract_x
_atom_site_fract_y
_atom_site_fract_z
Cs1 Cs 0.000 0.500 0.000
Cs2 Cs 0.500 0.000 0.000
Ba1 Ba 0.000 0.000 0.500
Be1 Be 0.500 0.500 0.500
In1 In 0.000 0.000 0.000
```

Top 12 peaks for 2θ from 5° to 70°, by intensity:
2θ/deg	I/Imax
12.0	100
24.0	93
21.4	74
35.8	65
13.0	41
26.2	38
43.6	37
34.3	37
26.9	31
27.4	29
40.7	27
28.9	26

[7]
The following is a calculated X-ray powder pattern of Er3Ir. It was derived from a crystal structure in Alexandria, relaxed with GGA-PBE, using Cu Kα X-rays.
Peak positions follow from Bragg's law for the DFT cell and can differ from measured ones.

Structure:
```
data_Er3Ir
_chemical_formula_sum 'Er12 Ir4'
_cell_length_a 8.729
_cell_length_b 8.729
_cell_length_c 8.729
_cell_angle_alpha 96.92
_cell_angle_beta 96.92
_cell_angle_gamma 139.38
_space_group_name_H-M_alt 'P 1'
_space_group_IT_number 1
_space_group_name_Hall 'P 1'
loop_
_atom_site_label
_atom_site_type_symbol
_atom_site_fract_x
_atom_site_fract_y
_atom_site_fract_z
Er1 Er 0.000 0.358 0.358
Er2 Er 0.000 0.642 0.642
Er3 Er 0.099 0.099 0.593
Er4 Er 0.159 0.350 0.000
Er5 Er 0.350 0.159 0.000
Er6 Er 0.358 0.000 0.358
Er7 Er 0.494 0.901 0.000
Er8 Er 0.506 0.506 0.407
Er9 Er 0.642 0.000 0.642
Er10 Er 0.650 0.650 0.809
Er11 Er 0.841 0.841 0.191
Er12 Er 0.901 0.494 0.000
Ir1 Ir 0.208 0.500 0.708
Ir2 Ir 0.500 0.208 0.708
Ir3 Ir 0.500 0.792 0.292
Ir4 Ir 0.792 0.500 0.292
```

Top 12 peaks for 2θ from 5° to 70°, by intensity:
2θ/deg	I/Imax
31.5	100
35.2	56
32.8	39
36.9	37
44.7	31
34.7	23
64.7	18
39.7	17
60.9	17
53.6	15
56.1	15
56.5	14

[8]
The following is a calculated X-ray powder pattern of TlCdRhAu. It was derived from a crystal structure in Alexandria, relaxed with GGA-PBE, using Cu Kα X-rays.
Peak positions follow from Bragg's law for the DFT cell and can differ from measured ones.

Structure:
```
data_TlCdRhAu
_chemical_formula_sum 'Tl1 Cd1 Rh1 Au1'
_cell_length_a 4.745
_cell_length_b 4.745
_cell_length_c 4.745
_cell_angle_alpha 60.00
_cell_angle_beta 60.00
_cell_angle_gamma 60.00
_space_group_name_H-M_alt 'P 1'
_space_group_IT_number 1
_space_group_name_Hall 'P 1'
loop_
_atom_site_label
_atom_site_type_symbol
_atom_site_fract_x
_atom_site_fract_y
_atom_site_fract_z
Tl1 Tl 0.000 0.000 0.000
Cd1 Cd 0.500 0.500 0.500
Rh1 Rh 0.750 0.750 0.750
Au1 Au 0.250 0.250 0.250
```

Top 6 peaks for 2θ from 5° to 70°, by intensity:
2θ/deg	I/Imax
37.9	100
68.5	35
54.7	17
23.0	9
44.8	5
60.1	2

[9]
The following is a calculated X-ray powder pattern of Y2HfO5. It was derived from a crystal structure in Alexandria, relaxed with GGA-PBE, using Cu Kα X-rays.
Peak positions follow from Bragg's law for the DFT cell and can differ from measured ones.

Structure:
```
data_Y2HfO5
_chemical_formula_sum 'Y8 Hf4 O20'
_cell_length_a 9.684
_cell_length_b 7.178
_cell_length_c 6.517
_cell_angle_alpha 90.00
_cell_angle_beta 105.44
_cell_angle_gamma 90.00
_space_group_name_H-M_alt 'P 1'
_space_group_IT_number 1
_space_group_name_Hall 'P 1'
loop_
_atom_site_label
_atom_site_type_symbol
_atom_site_fract_x
_atom_site_fract_y
_atom_site_fract_z
Y1 Y 0.030 0.126 0.241
Y2 Y 0.030 0.374 0.741
Y3 Y 0.355 0.131 0.041
Y4 Y 0.355 0.369 0.541
Y5 Y 0.645 0.631 0.459
Y6 Y 0.645 0.869 0.959
Y7 Y 0.970 0.626 0.259
Y8 Y 0.970 0.874 0.759
Hf1 Hf 0.312 0.610 0.063
Hf2 Hf 0.312 0.890 0.563
Hf3 Hf 0.688 0.110 0.437
Hf4 Hf 0.688 0.390 0.937
O1 O 0.101 0.633 0.992
O2 O 0.101 0.867 0.492
O3 O 0.111 0.110 0.933
O4 O 0.111 0.390 0.433
O5 O 0.279 0.099 0.347
O6 O 0.279 0.401 0.847
O7 O 0.335 0.677 0.383
O8 O 0.335 0.823 0.883
O9 O 0.448 0.100 0.743
O10 O 0.448 0.400 0.243
O11 O 0.552 0.600 0.757
O12 O 0.552 0.900 0.257
O13 O 0.665 0.177 0.117
O14 O 0.665 0.323 0.617
O15 O 0.721 0.599 0.153
O16 O 0.721 0.901 0.653
O17 O 0.889 0.610 0.567
O18 O 0.889 0.890 0.067
O19 O 0.899 0.133 0.508
O20 O 0.899 0.367 0.008
```

Top 12 peaks for 2θ from 5° to 70°, by intensity:
2θ/deg	I/Imax
28.7	100
31.4	69
29.8	53
32.4	53
49.1	34
29.0	32
24.0	31
51.9	24
50.9	19
58.8	18
38.1	17
56.8	14

[10]
The following is a calculated X-ray powder pattern of CrSnIrBr2. It was derived from a crystal structure in Alexandria, relaxed with GGA-PBE, using Cu Kα X-rays.
Peak positions follow from Bragg's law for the DFT cell and can differ from measured ones.

Structure:
```
data_CrSnIrBr2
_chemical_formula_sum 'Cr1 Sn1 Ir1 Br2'
_cell_length_a 5.149
_cell_length_b 5.149
_cell_length_c 4.865
_cell_angle_alpha 90.00
_cell_angle_beta 90.00
_cell_angle_gamma 90.00
_space_group_name_H-M_alt 'P 1'
_space_group_IT_number 1
_space_group_name_Hall 'P 1'
loop_
_atom_site_label
_atom_site_type_symbol
_atom_site_fract_x
_atom_site_fract_y
_atom_site_fract_z
Cr1 Cr 0.000 0.000 0.000
Sn1 Sn 0.500 0.500 0.000
Ir1 Ir 0.000 0.000 0.500
Br1 Br 0.000 0.500 0.500
Br2 Br 0.500 0.000 0.500
```

Top 12 peaks for 2θ from 5° to 70°, by intensity:
2θ/deg	I/Imax
25.2	100
34.9	94
51.7	61
43.5	49
37.0	40
50.1	33
24.5	33
63.9	32
17.2	29
18.2	27
30.7	22
39.6	15

[11]
The following is a calculated X-ray powder pattern of AlZn6Ag3. It was derived from a crystal structure in Alexandria, relaxed with GGA-PBE, using Cu Kα X-rays.
Peak positions follow from Bragg's law for the DFT cell and can differ from measured ones.

Structure:
```
data_AlZn6Ag3
_chemical_formula_sum 'Al2 Zn12 Ag6'
_cell_length_a 7.463
_cell_length_b 4.633
_cell_length_c 9.693
_cell_angle_alpha 90.00
_cell_angle_beta 109.38
_cell_angle_gamma 90.00
_space_group_name_H-M_alt 'P 1'
_space_group_IT_number 1
_space_group_name_Hall 'P 1'
loop_
_atom_site_label
_atom_site_type_symbol
_atom_site_fract_x
_atom_site_fract_y
_atom_site_fract_z
Al1 Al 0.108 0.250 0.069
Al2 Al 0.892 0.750 0.931
Zn1 Zn 0.103 0.250 0.570
Zn2 Zn 0.105 0.750 0.232
Zn3 Zn 0.296 0.750 0.037
Zn4 Zn 0.306 0.250 0.368
Zn5 Zn 0.496 0.750 0.828
Zn6 Zn 0.498 0.750 0.329
Zn7 Zn 0.502 0.250 0.671
Zn8 Zn 0.504 0.250 0.172
Zn9 Zn 0.694 0.750 0.632
Zn10 Zn 0.704 0.250 0.963
Zn11 Zn 0.895 0.250 0.768
Zn12 Zn 0.897 0.750 0.430
Ag1 Ag 0.086 0.750 0.733
Ag2 Ag 0.301 0.750 0.530
Ag3 Ag 0.309 0.250 0.874
Ag4 Ag 0.691 0.750 0.126
Ag5 Ag 0.699 0.250 0.470
Ag6 Ag 0.914 0.250 0.267
```

Top 12 peaks for 2θ from 5° to 70°, by intensity:
2θ/deg	I/Imax
42.1	100
41.8	56
38.9	44
37.1	27
54.8	17
36.8	10
67.0	9
66.4	8
66.5	8
13.1	7
54.6	6
9.7	5

[12]
The following is a calculated X-ray powder pattern of Ba3ScAl2O8. It was derived from a crystal structure in Alexandria, relaxed with GGA-PBE, using Cu Kα X-rays.
Peak positions follow from Bragg's law for the DFT cell and can differ from measured ones.

Structure:
```
data_Ba3ScAl2O8
_chemical_formula_sum 'Ba3 Sc1 Al2 O8'
_cell_length_a 5.809
_cell_length_b 5.809
_cell_length_c 7.502
_cell_angle_alpha 90.00
_cell_angle_beta 90.00
_cell_angle_gamma 120.00
_space_group_name_H-M_alt 'P 1'
_space_group_IT_number 1
_space_group_name_Hall 'P 1'
loop_
_atom_site_label
_atom_site_type_symbol
_atom_site_fract_x
_atom_site_fract_y
_atom_site_fract_z
Ba1 Ba 0.000 0.000 0.000
Ba2 Ba 0.333 0.667 0.666
Ba3 Ba 0.667 0.333 0.334
Sc1 Sc 0.000 0.000 0.500
Al1 Al 0.333 0.667 0.238
Al2 Al 0.667 0.333 0.762
O1 O 0.169 0.339 0.329
O2 O 0.169 0.831 0.329
O3 O 0.333 0.667 0.005
O4 O 0.339 0.169 0.671
O5 O 0.661 0.831 0.329
O6 O 0.667 0.333 0.995
O7 O 0.831 0.169 0.671
O8 O 0.831 0.661 0.671
```

Top 12 peaks for 2θ from 5° to 70°, by intensity:
2θ/deg	I/Imax
30.8	100
29.7	82
21.3	60
43.3	48
37.7	35
54.1	31
48.0	27
35.9	20
54.7	19
64.1	17
49.5	14
52.0	13

Copy entry 8 word for word.
The following is a calculated X-ray powder pattern of TlCdRhAu. It was derived from a crystal structure in Alexandria, relaxed with GGA-PBE, using Cu Kα X-rays.
Peak positions follow from Bragg's law for the DFT cell and can differ from measured ones.

Structure:
```
data_TlCdRhAu
_chemical_formula_sum 'Tl1 Cd1 Rh1 Au1'
_cell_length_a 4.745
_cell_length_b 4.745
_cell_length_c 4.745
_cell_angle_alpha 60.00
_cell_angle_beta 60.00
_cell_angle_gamma 60.00
_space_group_name_H-M_alt 'P 1'
_space_group_IT_number 1
_space_group_name_Hall 'P 1'
loop_
_atom_site_label
_atom_site_type_symbol
_atom_site_fract_x
_atom_site_fract_y
_atom_site_fract_z
Tl1 Tl 0.000 0.000 0.000
Cd1 Cd 0.500 0.500 0.500
Rh1 Rh 0.750 0.750 0.750
Au1 Au 0.250 0.250 0.250
```

Top 6 peaks for 2θ from 5° to 70°, by intensity:
2θ/deg	I/Imax
37.9	100
68.5	35
54.7	17
23.0	9
44.8	5
60.1	2